Co2H3F6: theoretical X-ray powder pattern (Cu Kα, 1.54184 Å), based on a structure optimized by DFT (GGA+U).

The 10 most intense peaks (2θ = 10–90°), low angle first:
d [Å]	2θ (°)	intensity
4.679	19.0	88
4.635	19.1	45
4.577	19.4	100
4.009	22.2	55
2.739	32.7	42
2.440	36.8	48
2.431	37.0	45
2.412	37.3	48
1.789	51.1	33
1.654	55.5	39

Structural model:
Lattice parameters (Å, degrees): 9.901 5.737 9.776 90.00 110.56 90.00
Space group C2/c (No. 15)
Asymmetric unit:
Co  0.084  0.249  0.003
H  0.000  0.066  0.250
H  0.156  0.413  0.751
F  0.022  0.062  0.373
F  0.105  0.438  0.627
F  0.206  0.383  0.875